(1)
TeC6Cl2F14: theoretical X-ray powder pattern (Cu Kα), based on a crystal structure in the Materials Project, relaxed with GGA-PBE.
Kinematic intensities with the Lorentz-polarization factor, no thermal factor.

Atomic structure:
Cell: 19.862 9.407 8.388 Å, 90.00 106.07 90.00°
Space group C2/c (No. 15)
Unique sites:
Te 0.000 0.139 0.250 [4 per cell]
C 0.079 0.312 0.215 [8 per cell]
C 0.145 0.237 0.191 [8 per cell]
C 0.212 0.333 0.216 [8 per cell]
Cl 0.057 0.160 0.554 [8 per cell]
F 0.049 0.393 0.082 [8 per cell]
F 0.096 0.396 0.351 [8 per cell]
F 0.129 0.183 0.034 [8 per cell]
F 0.162 0.127 0.302 [8 per cell]
F 0.197 0.446 0.113 [8 per cell]
F 0.235 0.380 0.374 [8 per cell]
F 0.237 0.244 0.819 [8 per cell]

Top 10 peaks for 2θ = 5–70°, by intensity:
- 2θ 16.11, rel. 100
- 2θ 14.24, rel. 86
- 2θ 33.26, rel. 67
- 2θ 9.27, rel. 30
- 2θ 22.56, rel. 28
- 2θ 10.48, rel. 27
- 2θ 24.76, rel. 24
- 2θ 38.60, rel. 22
- 2θ 16.82, rel. 22
- 2θ 28.85, rel. 21



(2)
Fe3H6C6N6Cl8: theoretical X-ray powder pattern (Cu Kα), based on a crystal structure in the Materials Project, relaxed with GGA-PBE.
Kinematic intensities with the Lorentz-polarization factor, no thermal factor.

Atomic structure:
Cell: 9.9549 9.9549 6.1526 Å, 90.00 90.00 120.00°
Space group P-3 (No. 147)
Unique sites:
Fe 0.0000 0.0000 0.0000 [1 per cell]
Fe 0.3333 0.6667 0.1411 [2 per cell]
H 0.0860 0.3904 0.6503 [6 per cell]
C 0.0630 0.2854 0.7351 [6 per cell]
N 0.0393 0.1743 0.8272 [6 per cell]
Cl 0.1072 0.4799 0.2573 [6 per cell]
Cl 0.3333 0.6667 0.7814 [2 per cell]

Top 10 peaks for 2θ = 5–70°, by intensity:
- 2θ 17.82, rel. 100
- 2θ 31.07, rel. 90
- 2θ 22.98, rel. 64
- 2θ 17.71, rel. 45
- 2θ 48.38, rel. 42
- 2θ 40.32, rel. 36
- 2θ 27.37, rel. 34
- 2θ 14.40, rel. 32
- 2θ 52.74, rel. 32
- 2θ 29.03, rel. 28